[1]
Computed PXRD pattern of HoErMg3 for CuKα, from a PBE-relaxed structure.

Main lines, low angle first (10° ≤ 2θ ≤ 80°):
(0 6 0), 2θ 17.29, rel. 31
(0 4 1), 2θ 20.67, rel. 63
(1 3 1), 2θ 33.34, rel. 82
(0 10 1), 2θ 33.91, rel. 100
(0 0 2), 2θ 34.64, rel. 27
(1 13 0), 2θ 47.24, rel. 13
(1 7 2), 2θ 49.29, rel. 31
(1 17 1), 2θ 61.05, rel. 18
(1 3 3), 2θ 61.25, rel. 14
(2 10 1), 2θ 66.79, rel. 16

Structure:
```
data_HoErMg3
_chemical_formula_sum 'Ho4 Er4 Mg12'
_symmetry_space_group_name_H-M 'C m c m'
_symmetry_Int_Tables_number 63
_symmetry_space_group_name_Hall '-C 2c 2'
_cell_length_a 3.3021
_cell_length_b 30.7783
_cell_length_c 5.1796
_cell_angle_alpha 90.00
_cell_angle_beta 90.00
_cell_angle_gamma 90.00
loop_
_atom_site_label
_atom_site_type_symbol
_atom_site_fract_x
_atom_site_fract_y
_atom_site_fract_z
Ho1 Ho 0.0000 0.0743 0.2500
Er1 Er 0.0000 0.2198 0.7500
Mg1 Mg 0.0000 0.3266 0.7500
Mg2 Mg 0.0000 0.3774 0.2500
Mg3 Mg 0.0000 0.4757 0.2500
```

***

[2]
Computed PXRD pattern of LaNd2Cu for CuKα, from a PBE-relaxed structure.

Main lines, low angle first (10° ≤ 2θ ≤ 80°):
(0 3 1), 2θ 29.30, rel. 100
(1 0 2), 2θ 29.72, rel. 46
(2 1 1), 2θ 29.86, rel. 54
(2 2 0), 2θ 30.62, rel. 91
(1 1 2), 2θ 30.99, rel. 85
(1 3 1), 2θ 31.96, rel. 47
(2 2 1), 2θ 33.53, rel. 56
(1 2 2), 2θ 34.55, rel. 48
(3 3 2), 2θ 54.66, rel. 35
(3 0 3), 2θ 57.00, rel. 38

Structure:
```
data_LaNd2Cu
_chemical_formula_sum 'La4 Nd8 Cu4'
_symmetry_space_group_name_H-M 'P n m a'
_symmetry_Int_Tables_number 62
_symmetry_space_group_name_Hall '-P 2ac 2n'
_cell_length_a 7.0911
_cell_length_b 10.2948
_cell_length_c 6.6393
_cell_angle_alpha 90.00
_cell_angle_beta 90.00
_cell_angle_gamma 90.00
loop_
_atom_site_label
_atom_site_type_symbol
_atom_site_fract_x
_atom_site_fract_y
_atom_site_fract_z
La1 La 0.0214 0.2500 0.1406
Nd1 Nd 0.1889 0.0585 0.6706
Cu1 Cu 0.1047 0.7500 0.4241
```

***

[3]
Computed PXRD pattern of Ho2ErPa2Ru5 for CuKα, from a PBE-relaxed structure.

Main lines, low angle first (10° ≤ 2θ ≤ 80°):
(2 1 0), 2θ 18.74, rel. 15
(3 1 0), 2θ 26.62, rel. 22
(2 2 1), 2θ 34.25, rel. 19
(4 1 0), 2θ 34.94, rel. 17
(3 3 0), 2θ 35.98, rel. 22
(3 1 1), 2θ 36.35, rel. 100
(4 2 0), 2θ 38.00, rel. 14
(3 2 1), 2θ 39.32, rel. 27
(4 0 1), 2θ 42.12, rel. 23
(0 0 2), 2θ 49.78, rel. 19

Structure:
```
data_Ho2ErPa2Ru5
_chemical_formula_sum 'Ho4 Er2 Pa4 Ru10'
_symmetry_space_group_name_H-M 'P 4/m b m'
_symmetry_Int_Tables_number 127
_symmetry_space_group_name_Hall '-P 4 2ab'
_cell_length_a 10.5887
_cell_length_b 10.5887
_cell_length_c 3.6631
_cell_angle_alpha 90.00
_cell_angle_beta 90.00
_cell_angle_gamma 90.00
loop_
_atom_site_label
_atom_site_type_symbol
_atom_site_fract_x
_atom_site_fract_y
_atom_site_fract_z
Ho1 Ho 0.1718 0.3282 0.0000
Er1 Er 0.0000 0.0000 0.0000
Pa1 Pa 0.1354 0.6354 0.0000
Ru1 Ru 0.0000 0.5000 0.5000
Ru2 Ru 0.0543 0.7924 0.5000
```

***

[4]
Computed PXRD pattern of Nd3GaNi4 for CuKα, from a PBE-relaxed structure.

Main lines, low angle first (10° ≤ 2θ ≤ 80°):
(0 1 3), 2θ 24.35, rel. 36
(1 1 2), 2θ 29.62, rel. 100
(1 0 5), 2θ 36.24, rel. 48
(1 2 1), 2θ 41.05, rel. 26
(0 2 4), 2θ 41.81, rel. 27
(2 0 0), 2θ 42.97, rel. 28
(1 2 3), 2θ 44.46, rel. 20
(1 1 8), 2θ 55.53, rel. 18
(2 2 4), 2θ 61.50, rel. 16
(1 3 8), 2θ 77.39, rel. 16

Structure:
```
data_Nd3GaNi4
_chemical_formula_sum 'Nd6 Ga2 Ni8'
_symmetry_space_group_name_H-M 'I m m m'
_symmetry_Int_Tables_number 71
_symmetry_space_group_name_Hall '-I 2 2'
_cell_length_a 4.2099
_cell_length_b 5.2312
_cell_length_c 15.3356
_cell_angle_alpha 90.00
_cell_angle_beta 90.00
_cell_angle_gamma 90.00
loop_
_atom_site_label
_atom_site_type_symbol
_atom_site_fract_x
_atom_site_fract_y
_atom_site_fract_z
Nd1 Nd 0.0000 0.0000 0.0000
Nd2 Nd 0.0000 0.5000 0.1943
Ga1 Ga 0.0000 0.0000 0.5000
Ni1 Ni 0.0000 0.2785 0.3786
```